For V6CrGe, DFT lattice parameters and positions (GGA-PBE) gives the theoretical powder diffractogram in this record (a wavelength of 1.5418 Å).
Neutral-atom scattering factors, no anomalous dispersion.

Peak list (10 most intense, 2θ = 15–90°, in order of rising 2θ)
2theta	I/Imax	index
18.8	1	1 0 0
26.7	4	1 1 0
32.8	2	1 1 1
38.1	47	2 0 0
42.8	100	2 0 1
47.1	97	2 1 1
68.8	5	2 2 2
72.0	19	3 2 0
75.2	44	3 1 2
81.4	15	4 0 0

Atomic structure:
```
V6CrGe
1.0
4.7288 0.0000 0.0000
0.0000 4.7288 0.0000
0.0000 0.0000 4.7288
V Cr Ge
6 1 1
direct
0.0000 0.2424 0.5000
0.0000 0.7576 0.5000
0.2424 0.5000 0.0000
0.5000 0.0000 0.2424
0.5000 0.0000 0.7576
0.7576 0.5000 0.0000
0.0000 0.0000 0.0000
0.5000 0.5000 0.5000
```